Structure and theoretical powder diffractogram of SrPrScO4 (a crystal structure in Alexandria, relaxed with PBE; a wavelength of 1.5418 Å).
Lines closer than 0.1° are merged.

Cell and atoms:
Unit cell a=5.708 b=12.434 c=5.894 alpha=90.00 beta=90.00 gamma=90.00
Space group Cmc2_1 (No. 36)
One atom of each set of equivalent atoms:
Sr: 0.000 0.104 0.000 [4 per cell]
Pr: 0.000 0.392 0.973 [4 per cell]
Sc: 0.000 0.246 0.483 [4 per cell]
O: 0.000 0.084 0.421 [4 per cell]
O: 0.000 0.429 0.577 [4 per cell]
O: 0.244 0.274 0.228 [8 per cell]

Largest 10 diffraction maxima, sorted by position, 10 to 90 degrees two-theta:
(hkl)	two_theta	d [Å]	intensity
1 1 1	22.84	3.894	28
0 4 0	28.72	3.108	12
0 0 2	30.33	2.947	34
1 3 1	30.67	2.915	100
2 0 0	31.35	2.854	36
0 4 2	42.26	2.139	15
2 4 0	43.03	2.102	16
2 0 2	44.18	2.050	37
1 3 3	54.10	1.695	30
3 3 1	55.37	1.659	19